Record 1
For Sm2Zr3Ga4, a structure optimized by DFT (PBE) gives the computed powder diffraction line list in this record (Cu Kα (weighted mean of Kα1 and Kα2)).
No peak broadening, texture or thermal motion is included.

Most intense lines, 2θ from 10° to 80°, most intense first:
33.79°, intensity 1000, (2 2 -1)
34.22°, intensity 453, (2 2 0)
38.64°, intensity 342, (1 1 -3)
37.72°, intensity 325, (0 3 1)
31.08°, intensity 245, (1 2 1)
31.90°, intensity 245, (2 1 -2)
37.31°, intensity 166, (3 0 0)
38.31°, intensity 164, (3 0 -2)
33.35°, intensity 161, (2 1 1)
57.97°, intensity 113, (1 3 3)

Structure:
Unit cell a=7.5976 b=7.6113 c=7.3442 alpha=90.00 beta=107.87 gamma=90.00
Space group P2_1/c (No. 14)
Unique sites:
Sm (0.1914, 0.1718, 0.0705)
Zr (0.2498, 0.6785, 0.2490)
Zr (0.5000, 0.0000, 0.5000)
Ga (0.0812, 0.5383, 0.8677)
Ga (0.4960, 0.1227, 0.8706)


Record 2
For Ga8Sn, a structure optimized by DFT (PBE) gives the computed powder diffraction line list in this record (Cu Kα (weighted mean of Kα1 and Kα2)).
No peak broadening, texture or thermal motion is included.

Most intense lines, 2θ from 10° to 80°, most intense first:
36.29°, intensity 1000, (3 0 1)
44.24°, intensity 283, (3 3 0)
59.50°, intensity 230, (3 3 2)
37.71°, intensity 227, (0 0 2)
76.18°, intensity 214, (6 3 1)
67.16°, intensity 159, (3 0 3)
77.05°, intensity 104, (6 0 2)
64.35°, intensity 89, (6 0 0)
29.66°, intensity 23, (2 1 1)
21.25°, intensity 18, (1 0 1)

Structure:
Unit cell a=8.6867 b=8.6867 c=4.7708 alpha=90.00 beta=90.00 gamma=90.00
Space group I4/mmm (No. 139)
Unique sites:
Ga (0.0000, 0.3412, 0.0000)
Ga (0.1714, 0.1714, 0.5000)
Sn (0.0000, 0.0000, 0.0000)


Record 3
For Ga2Sn, a structure optimized by DFT (PBE) gives the computed powder diffraction line list in this record (Cu Kα (weighted mean of Kα1 and Kα2)).
No peak broadening, texture or thermal motion is included.

Most intense lines, 2θ from 10° to 80°, most intense first:
36.89°, intensity 1000, (3 1 1)
31.31°, intensity 448, (2 2 0)
59.43°, intensity 334, (5 1 1)
65.31°, intensity 265, (4 4 0)
38.59°, intensity 249, (2 2 2)
55.72°, intensity 182, (4 2 2)
77.44°, intensity 117, (5 3 3)
78.51°, intensity 87, (6 2 2)
74.21°, intensity 82, (6 2 0)
19.02°, intensity 9, (1 1 1)

Structure:
Unit cell a=8.0818 b=8.0818 c=8.0818 alpha=90.00 beta=90.00 gamma=90.00
Space group Fd-3m (No. 227, origin choice 2)
Unique sites:
Ga (0.0000, 0.0000, 0.0000)
Sn (0.1250, 0.1250, 0.6250)


Record 4
For SrGa6Sn8, a structure optimized by DFT (PBE) gives the computed powder diffraction line list in this record (Cu Kα (weighted mean of Kα1 and Kα2)).
No peak broadening, texture or thermal motion is included.

Most intense lines, 2θ from 10° to 80°, most intense first:
32.89°, intensity 1000, (2 -1 6)
25.70°, intensity 630, (1 1 3)
40.14°, intensity 623, (3 0 0)
42.48°, intensity 311, (1 1 9)
52.83°, intensity 215, (2 2 6)
68.37°, intensity 163, (5 -1 6)
75.31°, intensity 127, (3 0 15)
48.28°, intensity 113, (4 -2 3)
53.52°, intensity 113, (1 1 12)
74.57°, intensity 100, (4 1 9)

Structure:
Unit cell a=7.7815 b=7.7815 c=22.8791 alpha=90.00 beta=90.00 gamma=120.00
Space group R-3 (No. 148, hexagonal axes)
Unique sites:
Sr (0.0000, 0.0000, 0.0000)
Ga (0.0105, 0.6352, 0.9280)
Sn (0.0000, 0.0000, 0.3370)
Sn (0.0083, 0.7012, 0.1244)


Record 5
For Sr2Ga3Sn, a structure optimized by DFT (PBE) gives the computed powder diffraction line list in this record (Cu Kα (weighted mean of Kα1 and Kα2)).
No peak broadening, texture or thermal motion is included.

Most intense lines, 2θ from 10° to 80°, most intense first:
29.91°, intensity 1000, (1 1 2)
34.48°, intensity 417, (0 1 5)
39.03°, intensity 268, (0 2 0)
39.89°, intensity 252, (2 0 0)
53.73°, intensity 233, (2 1 5)
34.72°, intensity 221, (1 0 5)
45.02°, intensity 194, (1 0 7)
57.04°, intensity 175, (2 2 0)
26.02°, intensity 161, (1 0 3)
61.08°, intensity 139, (1 2 7)

Structure:
Unit cell a=4.5201 b=4.6153 c=15.7446 alpha=90.00 beta=90.00 gamma=90.00
Space group Imm2 (No. 44)
Unique sites:
Sr (0.0000, 0.0000, 0.0000)
Sr (0.0000, 0.5000, 0.2553)
Ga (0.0000, 0.0000, 0.4118)
Ga (0.0000, 0.5000, 0.6770)
Ga (0.0000, 0.5000, 0.8379)
Sn (0.0000, 0.0000, 0.5850)


Record 6
For SrGa3Sn, a structure optimized by DFT (PBE) gives the computed powder diffraction line list in this record (Cu Kα (weighted mean of Kα1 and Kα2)).
No peak broadening, texture or thermal motion is included.

Most intense lines, 2θ from 10° to 80°, most intense first:
31.33°, intensity 1000, (1 1 -2)
31.83°, intensity 564, (1 0 1)
35.47°, intensity 563, (0 2 -1)
40.05°, intensity 402, (2 0 -1)
30.47°, intensity 347, (0 1 1)
54.55°, intensity 323, (2 2 -2)
42.94°, intensity 307, (1 1 1)
45.67°, intensity 239, (0 1 -3)
26.49°, intensity 239, (1 1 -1)
48.34°, intensity 177, (1 2 0)

Structure:
Unit cell a=4.5030 b=5.0619 c=6.3657 alpha=113.28 beta=110.65 gamma=90.01
Space group P1 (No. 1)
Unique sites:
Sr (0.0000, 0.0000, 0.0000)
Ga (0.2700, 0.7684, 0.5410)
Ga (0.3636, 0.3614, 0.7284)
Ga (0.7439, 0.2430, 0.4874)
Sn (0.6174, 0.6175, 0.2339)


Record 7
For Sr3Ga4Sn, a structure optimized by DFT (PBE) gives the computed powder diffraction line list in this record (Cu Kα (weighted mean of Kα1 and Kα2)).
No peak broadening, texture or thermal motion is included.

Most intense lines, 2θ from 10° to 80°, most intense first:
25.80°, intensity 1000, (1 1 2)
40.24°, intensity 441, (1 2 3)
38.46°, intensity 423, (0 2 4)
35.09°, intensity 407, (2 0 0)
53.04°, intensity 330, (2 2 4)
18.04°, intensity 308, (1 0 1)
30.46°, intensity 271, (1 0 5)
39.36°, intensity 233, (1 0 7)
31.14°, intensity 163, (1 1 4)
29.77°, intensity 148, (0 1 5)

Structure:
Unit cell a=5.1142 b=5.4895 c=17.9181 alpha=90.00 beta=90.00 gamma=90.00
Space group Immm (No. 71)
Unique sites:
Sr (0.0000, 0.0000, 0.0000)
Sr (0.0000, 0.5000, 0.2025)
Ga (0.0000, 0.2713, 0.3711)
Sn (0.0000, 0.0000, 0.5000)


Record 8
For Sr3GaSn2, a structure optimized by DFT (PBE) gives the computed powder diffraction line list in this record (Cu Kα (weighted mean of Kα1 and Kα2)).
No peak broadening, texture or thermal motion is included.

Most intense lines, 2θ from 10° to 80°, most intense first:
27.62°, intensity 1000, (0 1 3)
31.01°, intensity 950, (3 1 2)
38.95°, intensity 835, (0 2 0)
26.97°, intensity 823, (2 1 2)
35.96°, intensity 731, (4 1 2)
28.77°, intensity 699, (3 1 1)
34.02°, intensity 571, (4 1 1)
35.58°, intensity 446, (2 1 4)
27.82°, intensity 414, (4 0 1)
39.07°, intensity 400, (3 0 5)

Structure:
Unit cell a=13.2025 b=4.6251 c=13.5355 alpha=90.00 beta=90.00 gamma=90.00
Space group Pnma (No. 62)
Unique sites:
Sr (0.0636, 0.2500, 0.1191)
Sr (0.1206, 0.7500, 0.5519)
Sr (0.2029, 0.2500, 0.7952)
Ga (0.1431, 0.2500, 0.3481)
Sn (0.0263, 0.7500, 0.3165)
Sn (0.1968, 0.7500, 0.9876)


Record 9
For Sr3Ga4Sn4, a structure optimized by DFT (PBE) gives the computed powder diffraction line list in this record (Cu Kα (weighted mean of Kα1 and Kα2)).
No peak broadening, texture or thermal motion is included.

Most intense lines, 2θ from 10° to 80°, most intense first:
29.28°, intensity 1000, (1 1 4)
35.43°, intensity 267, (0 2 0)
38.83°, intensity 207, (2 0 0)
53.57°, intensity 163, (2 2 0)
42.83°, intensity 152, (1 1 10)
59.88°, intensity 135, (1 3 4)
41.84°, intensity 132, (1 0 11)
55.95°, intensity 110, (1 2 11)
35.80°, intensity 98, (1 0 9)
49.32°, intensity 96, (2 1 7)

Structure:
Unit cell a=4.6387 b=5.0672 c=26.8351 alpha=90.00 beta=90.00 gamma=90.00
Space group Immm (No. 71)
Unique sites:
Sr (0.0000, 0.0000, 0.0000)
Sr (0.0000, 0.5000, 0.3583)
Ga (0.0000, 0.0000, 0.4547)
Ga (0.0000, 0.5000, 0.1957)
Sn (0.0000, 0.0000, 0.2462)
Sn (0.0000, 0.5000, 0.0955)


Record 10
For SrZnGa2Sn, a structure optimized by DFT (PBE) gives the computed powder diffraction line list in this record (Cu Kα (weighted mean of Kα1 and Kα2)).
No peak broadening, texture or thermal motion is included.

Most intense lines, 2θ from 10° to 80°, most intense first:
31.93°, intensity 1000, (1 1 2)
38.79°, intensity 269, (0 2 0)
42.67°, intensity 263, (1 1 4)
56.91°, intensity 260, (2 2 0)
39.97°, intensity 247, (2 0 0)
31.07°, intensity 169, (1 0 3)
30.70°, intensity 136, (0 1 3)
65.95°, intensity 117, (1 3 2)
44.87°, intensity 117, (0 1 5)
67.58°, intensity 109, (3 1 2)

Structure:
Unit cell a=4.5109 b=4.6430 c=11.2169 alpha=90.00 beta=90.00 gamma=90.00
Space group Imm2 (No. 44)
Unique sites:
Sr (0.0000, 0.0000, 0.0000)
Zn (0.0000, 0.0000, 0.6162)
Ga (0.0000, 0.0000, 0.3940)
Ga (0.0000, 0.5000, 0.2533)
Sn (0.0000, 0.5000, 0.7485)


Record 11
For Ta5Ga2Sn, a structure optimized by DFT (PBE) gives the computed powder diffraction line list in this record (Cu Kα (weighted mean of Kα1 and Kα2)).
No peak broadening, texture or thermal motion is included.

Most intense lines, 2θ from 10° to 80°, most intense first:
36.84°, intensity 1000, (2 1 3)
41.84°, intensity 516, (3 1 0)
39.68°, intensity 294, (2 0 4)
34.86°, intensity 237, (1 1 4)
30.18°, intensity 192, (2 1 1)
65.63°, intensity 145, (3 3 4)
79.15°, intensity 140, (5 2 3)
60.38°, intensity 136, (4 1 3)
37.25°, intensity 116, (2 2 0)
44.68°, intensity 112, (0 0 6)

Structure:
Unit cell a=6.8273 b=6.8273 c=12.1698 alpha=90.00 beta=90.00 gamma=90.00
Space group I4/mcm (No. 140)
Unique sites:
Ta (0.0000, 0.0000, 0.0000)
Ta (0.1603, 0.3397, 0.1498)
Ga (0.1345, 0.3655, 0.5000)
Sn (0.0000, 0.0000, 0.2500)


Record 12
For Tb3Ga2Sn2, a structure optimized by DFT (PBE) gives the computed powder diffraction line list in this record (Cu Kα (weighted mean of Kα1 and Kα2)).
No peak broadening, texture or thermal motion is included.

Most intense lines, 2θ from 10° to 80°, most intense first:
30.73°, intensity 1000, (1 1 2)
41.17°, intensity 548, (0 2 0)
31.25°, intensity 374, (0 1 5)
34.96°, intensity 365, (1 1 4)
39.51°, intensity 285, (1 0 7)
28.35°, intensity 270, (0 0 6)
42.37°, intensity 264, (2 0 0)
58.38°, intensity 196, (1 2 7)
60.56°, intensity 184, (2 2 0)
53.58°, intensity 164, (2 1 5)

Structure:
Unit cell a=4.2668 b=4.3846 c=18.8888 alpha=90.00 beta=90.00 gamma=90.00
Space group Immm (No. 71)
Unique sites:
Tb (0.0000, 0.0000, 0.0000)
Tb (0.0000, 0.5000, 0.3178)
Ga (0.0000, 0.0000, 0.4364)
Sn (0.0000, 0.5000, 0.1506)


Record 13
For Tb5GaSn2, a structure optimized by DFT (PBE) gives the computed powder diffraction line list in this record (Cu Kα (weighted mean of Kα1 and Kα2)).
No peak broadening, texture or thermal motion is included.

Most intense lines, 2θ from 10° to 80°, most intense first:
32.71°, intensity 1000, (2 0 2)
37.36°, intensity 350, (2 2 0)
64.47°, intensity 287, (4 2 2)
55.19°, intensity 228, (2 2 4)
39.10°, intensity 154, (0 0 4)
66.82°, intensity 129, (2 0 6)
53.87°, intensity 123, (4 0 0)
68.55°, intensity 120, (4 0 4)
79.67°, intensity 40, (4 4 0)
16.19°, intensity 31, (1 0 1)

Structure:
Unit cell a=6.8076 b=6.8076 c=9.2162 alpha=90.00 beta=90.00 gamma=90.00
Space group I4/mmm (No. 139)
Unique sites:
Tb (0.0000, 0.0000, 0.0000)
Tb (0.2500, 0.2500, 0.2500)
Ga (0.0000, 0.0000, 0.5000)
Sn (0.0000, 0.5000, 0.0000)


Record 14
For Tb4Ga2Sn, a structure optimized by DFT (PBE) gives the computed powder diffraction line list in this record (Cu Kα (weighted mean of Kα1 and Kα2)).
No peak broadening, texture or thermal motion is included.

Most intense lines, 2θ from 10° to 80°, most intense first:
37.14°, intensity 1000, (1 1 0)
26.03°, intensity 587, (0 1 5)
66.95°, intensity 274, (3 0 0)
60.46°, intensity 147, (1 2 5)
53.53°, intensity 142, (0 2 10)
45.91°, intensity 141, (2 0 5)
29.99°, intensity 138, (1 0 7)
39.76°, intensity 87, (0 1 11)
24.39°, intensity 84, (1 0 4)
79.12°, intensity 81, (2 2 0)

Structure:
Unit cell a=4.8420 b=4.8420 c=29.6479 alpha=90.00 beta=90.00 gamma=120.00
Space group R-3m (No. 166, hexagonal axes)
Unique sites:
Tb (0.0000, 0.0000, 0.1166)
Tb (0.0000, 0.0000, 0.2985)
Ga (0.0000, 0.0000, 0.4013)
Sn (0.0000, 0.0000, 0.5000)